Theoretical powder diffraction line list
Compound: Ac5MgTl2
Radiation: Cu Kα X-rays
Structure: a crystal structure in Alexandria, relaxed with GGA-PBE
Kinematic intensities with the Lorentz-polarization factor, no thermal factor.

Most intense lines, 5 to 70 degrees two-theta, sorted by position:
| 2theta | d_spacing | Rel. int. |
| --- | --- | --- |
| 12.73 | 6.952 | 10 |
| 28.60 | 3.121 | 100 |
| 29.94 | 2.985 | 46 |
| 38.14 | 2.360 | 8 |
| 38.83 | 2.319 | 16 |
| 40.55 | 2.225 | 10 |
| 44.12 | 2.053 | 13 |
| 49.81 | 1.831 | 16 |
| 56.10 | 1.639 | 24 |
| 61.77 | 1.502 | 7 |

Cell and atoms:
a = 9.6376 Å, b = 9.6376 Å, c = 9.6376 Å
α = 121.36°, β = 121.36°, γ = 87.66°
Positions (direct):
Ac 0.0000 0.0000 0.0000
Ac 0.0044 0.5044 0.8053
Ac 0.1991 0.0044 0.5000
Ac 0.3009 0.8009 0.8053
Ac 0.4956 0.3009 0.5000
Ac 0.5000 0.5000 0.0000
Ac 0.5044 0.6991 0.5000
Ac 0.6991 0.1991 0.1947
Ac 0.8009 0.9956 0.5000
Ac 0.9956 0.4956 0.1947
Mg 0.2500 0.2500 0.0000
Mg 0.7500 0.7500 0.0000
Tl 0.1468 0.3532 0.5000
Tl 0.3532 0.8532 0.2065
Tl 0.6468 0.1468 0.7935
Tl 0.8532 0.6468 0.5000

=====

Theoretical powder diffraction line list
Compound: NaGaS2
Radiation: Cu Kα X-rays
Structure: a crystal structure in Alexandria, relaxed with GGA-PBE
Kinematic intensities with the Lorentz-polarization factor, no thermal factor.

Most intense lines, 5 to 70 degrees two-theta, sorted by position:
| 2theta | d_spacing | Rel. int. |
| --- | --- | --- |
| 16.65 | 5.326 | 88 |
| 16.91 | 5.243 | 98 |
| 23.97 | 3.712 | 75 |
| 26.93 | 3.310 | 83 |
| 27.60 | 3.232 | 100 |
| 27.71 | 3.219 | 98 |
| 40.24 | 2.241 | 53 |
| 45.83 | 1.980 | 57 |
| 48.88 | 1.863 | 78 |
| 54.34 | 1.688 | 44 |

Cell and atoms:
a = 6.6206 Å, b = 8.9649 Å, c = 6.4640 Å
α = 90.00°, β = 90.00°, γ = 90.00°
Positions (direct):
Na 0.0691 0.1194 0.0000
Na 0.4309 0.6194 0.5000
Na 0.5691 0.3806 0.0000
Na 0.9309 0.8806 0.5000
Ga 0.0606 0.6259 0.9799
Ga 0.4394 0.1259 0.4799
Ga 0.5606 0.8741 0.9799
Ga 0.9394 0.3741 0.4799
S 0.0328 0.5968 0.6260
S 0.1039 0.1582 0.5726
S 0.3961 0.6582 0.0726
S 0.4672 0.0968 0.1260
S 0.5328 0.9032 0.6260
S 0.6039 0.3418 0.5726
S 0.8961 0.8418 0.0726
S 0.9672 0.4032 0.1260